The following is a simulated XRD peak list of Nd7Tm2Th2. It was derived from the GGA-PBE geometry in Alexandria, using Cu Kα (λ = 1.5418 Å).
Neutral-atom scattering factors, no anomalous dispersion.

Cell and atoms:
a = 8.1207 Å, b = 8.1207 Å, c = 6.1435 Å
α = 105.36°, β = 105.36°, γ = 89.98°
Element x y z (fractional)
Nd1 0.0000 0.0000 0.0000
Nd2 0.0509 0.5869 0.8263
Nd3 0.2295 0.2295 0.5951
Nd4 0.4131 0.9491 0.1737
Nd5 0.5869 0.0509 0.8263
Nd6 0.7705 0.7705 0.4049
Nd7 0.9491 0.4131 0.1737
Tm1 0.2242 0.7758 0.5000
Tm2 0.7758 0.2242 0.5000
Th1 0.4292 0.4292 0.1981
Th2 0.5708 0.5708 0.8019

Peak list (10 most intense, 2θ = 10–90°, sorted by position)
2theta, d/Å, Rel. int.
24.72, 3.602, 8.7
25.30, 3.520, 17.3
30.31, 2.949, 22.5
31.14, 2.872, 100.0
31.30, 2.857, 19.8
33.47, 2.678, 27.9
33.70, 2.660, 23.8
44.75, 2.025, 12.4
49.69, 1.835, 10.2
55.40, 1.658, 15.6


The following is a simulated XRD peak list of Si3Ag3Sn2P6. It was derived from the GGA-PBE geometry in Alexandria, using Cu Kα (λ = 1.5418 Å).
Neutral-atom scattering factors, no anomalous dispersion.

Cell and atoms:
a = 9.0592 Å, b = 9.0592 Å, c = 9.0592 Å
α = 109.47°, β = 109.47°, γ = 109.47°
Element x y z (fractional)
Si1 0.2500 0.5000 0.7500
Si2 0.2500 0.7500 0.5000
Si3 0.5000 0.2500 0.7500
Si4 0.5000 0.7500 0.2500
Si5 0.7500 0.2500 0.5000
Si6 0.7500 0.5000 0.2500
Ag1 0.0000 0.1988 0.1988
Ag2 0.0000 0.8012 0.8012
Ag3 0.1988 0.0000 0.1988
Ag4 0.1988 0.1988 0.0000
Ag5 0.8012 0.0000 0.8012
Ag6 0.8012 0.8012 0.0000
Sn1 0.0000 0.0000 0.4093
Sn2 0.0000 0.4093 0.0000
Sn3 0.4093 0.0000 0.0000
Sn4 0.5907 0.5907 0.5907
P1 0.0000 0.5010 0.7526
P2 0.0000 0.7526 0.5010
P3 0.2474 0.2474 0.7485
P4 0.2474 0.7485 0.2474
P5 0.2515 0.4990 0.4990
P6 0.4990 0.2515 0.4990
P7 0.4990 0.4990 0.2515
P8 0.5010 0.0000 0.7526
P9 0.5010 0.7526 0.0000
P10 0.7485 0.2474 0.2474
P11 0.7526 0.0000 0.5010
P12 0.7526 0.5010 0.0000

Peak list (10 most intense, 2θ = 10–90°, sorted by position)
2theta, d/Å, Rel. int.
11.96, 7.397, 76.7
20.80, 4.271, 17.3
29.58, 3.020, 100.0
32.01, 2.796, 29.4
36.44, 2.466, 30.6
40.45, 2.230, 55.9
44.15, 2.052, 55.1
49.28, 1.849, 26.8
54.04, 1.697, 20.2
70.94, 1.329, 30.2


The following is a simulated XRD peak list of TiZnSiO5. It was derived from the GGA-PBE geometry in Alexandria, using Cu Kα (λ = 1.5418 Å).
Neutral-atom scattering factors, no anomalous dispersion.

Cell and atoms:
a = 5.4425 Å, b = 5.4425 Å, c = 7.3939 Å
α = 106.84°, β = 106.84°, γ = 97.15°
Element x y z (fractional)
Ti1 0.0087 0.9913 0.5000
Ti2 0.9913 0.0087 0.0000
Zn1 0.1712 0.5861 0.1495
Zn2 0.5861 0.1712 0.6495
Si1 0.3662 0.6752 0.7796
Si2 0.6752 0.3662 0.2796
O1 0.1049 0.9280 0.2786
O2 0.1853 0.7311 0.9260
O3 0.3043 0.3620 0.6461
O4 0.3134 0.8629 0.6392
O5 0.3620 0.3043 0.1461
O6 0.6774 0.7654 0.9226
O7 0.7311 0.1853 0.4260
O8 0.7654 0.6774 0.4226
O9 0.8629 0.3134 0.1392
O10 0.9280 0.1049 0.7786

Peak list (10 most intense, 2θ = 10–90°, sorted by position)
2theta, d/Å, Rel. int.
17.48, 5.072, 24.2
17.99, 4.930, 35.6
25.48, 3.495, 82.8
26.55, 3.358, 100.0
27.55, 3.237, 60.5
34.81, 2.577, 38.2
35.80, 2.508, 41.0
38.35, 2.347, 20.7
43.37, 2.087, 19.5
46.60, 1.949, 20.3


The following is a simulated XRD peak list of Ni2Rh2Au. It was derived from the GGA-PBE geometry in Alexandria, using Cu Kα (λ = 1.5418 Å).
Neutral-atom scattering factors, no anomalous dispersion.

Cell and atoms:
a = 7.1674 Å, b = 7.1674 Å, c = 2.7513 Å
α = 90.00°, β = 90.00°, γ = 90.00°
Element x y z (fractional)
Ni1 0.1198 0.3802 0.0000
Ni2 0.3802 0.8802 0.0000
Ni3 0.6198 0.1198 0.0000
Ni4 0.8802 0.6198 0.0000
Rh1 0.1738 0.6738 0.5000
Rh2 0.3262 0.1738 0.5000
Rh3 0.6738 0.8262 0.5000
Rh4 0.8262 0.3262 0.5000
Au1 0.0000 0.0000 0.0000
Au2 0.5000 0.5000 0.0000

Peak list (10 most intense, 2θ = 10–90°, sorted by position)
2theta, d/Å, Rel. int.
17.50, 5.068, 18.6
35.42, 2.534, 39.4
37.18, 2.418, 28.9
39.77, 2.267, 100.0
41.37, 2.182, 76.6
43.34, 2.088, 71.9
52.30, 1.749, 19.1
64.76, 1.440, 23.7
76.03, 1.252, 27.2
81.92, 1.176, 24.4


The following is a simulated XRD peak list of Mg4CdAg7. It was derived from the GGA-PBE geometry in Alexandria, using Cu Kα (λ = 1.5418 Å).
Neutral-atom scattering factors, no anomalous dispersion.

Cell and atoms:
a = 5.3323 Å, b = 5.7518 Å, c = 7.6780 Å
α = 99.50°, β = 106.29°, γ = 91.03°
Element x y z (fractional)
Mg1 0.1725 0.1693 0.1685
Mg2 0.3162 0.5633 0.8225
Mg3 0.6838 0.4367 0.1775
Mg4 0.8275 0.8307 0.8315
Cd1 0.5000 0.0000 0.5000
Ag1 0.0017 0.7501 0.5004
Ag2 0.1723 0.6681 0.1603
Ag3 0.3291 0.0734 0.8395
Ag4 0.5000 0.5000 0.5000
Ag5 0.6709 0.9266 0.1605
Ag6 0.8277 0.3319 0.8397
Ag7 0.9983 0.2499 0.4996

Peak list (10 most intense, 2θ = 10–90°, sorted by position)
2theta, d/Å, Rel. int.
12.20, 7.253, 18.8
36.77, 2.445, 50.7
37.19, 2.418, 100.0
37.37, 2.407, 51.0
40.70, 2.217, 38.0
43.73, 2.070, 30.7
44.89, 2.019, 28.3
60.85, 1.522, 11.4
72.01, 1.311, 12.8
76.00, 1.252, 11.2


The following is a simulated XRD peak list of RbHgC2N2ClO. It was derived from the GGA-PBE geometry in Alexandria, using Cu Kα (λ = 1.5418 Å).
Neutral-atom scattering factors, no anomalous dispersion.

Cell and atoms:
a = 9.2858 Å, b = 9.2858 Å, c = 10.9139 Å
α = 90.00°, β = 90.00°, γ = 151.25°
Element x y z (fractional)
Rb1 0.1970 0.8030 0.7500
Rb2 0.8030 0.1970 0.2500
Hg1 0.5000 0.5000 0.0000
Hg2 0.5000 0.5000 0.5000
C1 0.3918 0.6082 0.5595
C2 0.3918 0.6082 0.9405
C3 0.6082 0.3918 0.0595
C4 0.6082 0.3918 0.4405
N1 0.3291 0.6709 0.5878
N2 0.3291 0.6709 0.9122
N3 0.6709 0.3291 0.0878
N4 0.6709 0.3291 0.4122
Cl1 0.4306 0.5694 0.2500
Cl2 0.5694 0.4306 0.7500
O1 0.1647 0.8353 0.2500
O2 0.8353 0.1647 0.7500

Peak list (10 most intense, 2θ = 10–90°, sorted by position)
2theta, d/Å, Rel. int.
19.02, 4.666, 100.0
19.88, 4.467, 78.6
24.35, 3.655, 61.5
25.68, 3.469, 33.8
25.78, 3.456, 79.0
35.67, 2.517, 64.8
38.64, 2.330, 32.3
41.29, 2.187, 45.8
43.56, 2.078, 33.6
43.80, 2.067, 24.5


The following is a simulated XRD peak list of CeFeH6Rh. It was derived from the GGA-PBE geometry in Alexandria, using Cu Kα (λ = 1.5418 Å).
Neutral-atom scattering factors, no anomalous dispersion.

Cell and atoms:
a = 4.5668 Å, b = 4.5668 Å, c = 4.2908 Å
α = 90.00°, β = 90.00°, γ = 120.00°
Element x y z (fractional)
Ce1 0.0000 0.0000 0.0000
Fe1 0.6667 0.3333 0.5000
H1 0.5064 0.0129 0.2375
H2 0.5064 0.0129 0.7625
H3 0.5064 0.4936 0.2375
H4 0.5064 0.4936 0.7625
H5 0.9871 0.4936 0.2375
H6 0.9871 0.4936 0.7625
Rh1 0.3333 0.6667 0.5000

Peak list (10 most intense, 2θ = 10–90°, sorted by position)
2theta, d/Å, Rel. int.
22.48, 3.955, 9.2
30.75, 2.908, 100.0
39.46, 2.283, 45.2
42.12, 2.145, 12.1
50.84, 1.796, 24.2
59.08, 1.564, 27.7
66.20, 1.412, 21.4
69.94, 1.345, 9.1
71.57, 1.318, 7.5
86.69, 1.123, 9.3


The following is a simulated XRD peak list of RhPb5. It was derived from the GGA-PBE geometry in Alexandria, using Cu Kα (λ = 1.5418 Å).
Neutral-atom scattering factors, no anomalous dispersion.

Cell and atoms:
a = 9.6327 Å, b = 4.5237 Å, c = 7.8453 Å
α = 90.00°, β = 90.00°, γ = 90.00°
Element x y z (fractional)
Rh1 0.2500 0.0000 0.1667
Rh2 0.7500 0.0000 0.8333
Pb1 0.0000 0.0000 0.0000
Pb2 0.0727 0.5000 0.3092
Pb3 0.2500 0.0000 0.5416
Pb4 0.2500 0.5000 0.9059
Pb5 0.4273 0.5000 0.3092
Pb6 0.5000 0.0000 0.0000
Pb7 0.5727 0.5000 0.6908
Pb8 0.7500 0.0000 0.4584
Pb9 0.7500 0.5000 0.0941
Pb10 0.9273 0.5000 0.6908

Peak list (10 most intense, 2θ = 10–90°, sorted by position)
2theta, d/Å, Rel. int.
29.38, 3.040, 100.0
30.12, 2.967, 61.2
31.59, 2.833, 55.0
35.57, 2.524, 32.6
36.16, 2.484, 47.5
39.19, 2.299, 35.9
39.85, 2.262, 45.0
57.03, 1.615, 17.5
57.14, 1.612, 21.4
72.13, 1.309, 16.8